Ac3GaSe2: computed powder XRD pattern (Cu Ka), based on a cell relaxed with PBE.

Atomic structure:
a = 6.393 Å, b = 13.625 Å, c = 9.056 Å
α = 90.00°, β = 90.00°, γ = 90.00°
Space group P2_1/c (No. 14)
One atom of each set of equivalent atoms:
Ac 0.250 0.083 0.124 (multiplicity 4)
Ac 0.250 0.083 0.625 (multiplicity 4)
Ac 0.250 0.749 0.624 (multiplicity 4)
Ga 0.250 0.586 0.369 (multiplicity 4)
Se 0.249 0.250 0.374 (multiplicity 4)
Se 0.250 0.584 0.877 (multiplicity 4)

Peak list (12 most intense, 15° ≤ 2θ ≤ 90°, sorted by position)
| 2θ/deg | I/Imax |
| --- | --- |
| 24.06 | 42.6 |
| 27.85 | 100.0 |
| 39.69 | 13.1 |
| 39.82 | 64.9 |
| 47.01 | 15.4 |
| 49.22 | 14.2 |
| 49.33 | 14.1 |
| 57.48 | 9.0 |
| 65.10 | 18.5 |
| 65.23 | 12.3 |
| 72.12 | 9.2 |
| 72.31 | 18.3 |